(1)
The following is a computed powder X-ray diffraction pattern of Cr2O5. It was derived from a cell relaxed with GGA+U, using λ = 1.5418 Å (Cu Kα).

Principal peaks in the range 2θ = 10–90°, low angle first:
6.480 Å, 2θ 13.67, intensity 1000, (0 1 1)
4.643 Å, 2θ 19.12, intensity 121, (0 0 2)
3.952 Å, 2θ 22.50, intensity 356, (1 1 1)
3.398 Å, 2θ 26.22, intensity 190, (1 0 2)
3.351 Å, 2θ 26.60, intensity 180, (1 2 0)
3.240 Å, 2θ 27.53, intensity 161, (0 2 2)
3.181 Å, 2θ 28.05, intensity 315, (1 1 2)
3.152 Å, 2θ 28.32, intensity 358, (1 2 1)
2.630 Å, 2θ 34.09, intensity 117, (1 0 3)
2.011 Å, 2θ 45.08, intensity 126, (1 4 1)

Cell and atoms:
Cell: 4.988 9.047 9.285 Å, 90.00 90.00 90.00°
Atoms (fractional coordinates):
Cr1 0.115 0.031 0.282
Cr2 0.117 0.660 0.907
Cr3 0.383 0.340 0.407
Cr4 0.385 0.969 0.782
Cr5 0.615 0.469 0.718
Cr6 0.617 0.840 0.093
Cr7 0.883 0.160 0.593
Cr8 0.885 0.531 0.218
O1 0.039 0.014 0.457
O2 0.094 0.307 0.531
O3 0.148 0.091 0.740
O4 0.155 0.503 0.320
O5 0.219 0.205 0.260
O6 0.281 0.795 0.760
O7 0.345 0.497 0.820
O8 0.352 0.909 0.240
O9 0.406 0.693 0.031
O10 0.461 0.986 0.957
O11 0.539 0.486 0.543
O12 0.594 0.193 0.469
O13 0.648 0.409 0.260
O14 0.655 0.997 0.680
O15 0.719 0.295 0.740
O16 0.781 0.705 0.240
O17 0.845 0.003 0.180
O18 0.852 0.591 0.760
O19 0.906 0.807 0.969
O20 0.961 0.514 0.043

=====

(2)
The following is a computed powder X-ray diffraction pattern of Mg6VCoO8. It was derived from a cell relaxed with GGA+U, using λ = 1.5418 Å (Cu Kα).

Principal peaks in the range 2θ = 10–90°, low angle first:
4.315 Å, 2θ 20.59, intensity 84, (0 0 2)
4.266 Å, 2θ 20.82, intensity 163, (1 0 0)
3.034 Å, 2θ 29.44, intensity 136, (1 0 2)
2.472 Å, 2θ 36.34, intensity 368, (1 1 2)
2.157 Å, 2θ 41.88, intensity 519, (0 0 4)
2.133 Å, 2θ 42.37, intensity 1000, (2 0 0)
1.517 Å, 2θ 61.09, intensity 576, (2 0 4)
1.508 Å, 2θ 61.47, intensity 282, (2 2 0)
1.288 Å, 2θ 73.55, intensity 122, (3 1 2)
1.236 Å, 2θ 77.16, intensity 260, (2 2 4)

Cell and atoms:
Cell: 4.266 4.266 8.629 Å, 90.00 90.00 90.00°
Atoms (fractional coordinates):
Mg1 0.000 0.000 0.000
Mg2 0.000 0.000 0.500
Mg3 0.000 0.500 0.247
Mg4 0.000 0.500 0.753
Mg5 0.500 0.000 0.247
Mg6 0.500 0.000 0.753
V1 0.500 0.500 0.500
Co1 0.500 0.500 0.000
O1 0.000 0.000 0.249
O2 0.000 0.000 0.751
O3 0.000 0.500 0.000
O4 0.000 0.500 0.500
O5 0.500 0.000 0.000
O6 0.500 0.000 0.500
O7 0.500 0.500 0.251
O8 0.500 0.500 0.749